The following is a computed powder X-ray diffraction pattern of Sr2ReNiO6. It was derived from a structure optimized by DFT (PBE+U), using a wavelength of 1.5418 Å.
No peak broadening, texture or thermal motion is included.

Atomic structure:
a b c (Å): 5.6454 5.6454 5.6454
angles (deg): 120.60 120.60 88.97
Positions (direct):
Sr1 0.2500 0.7500 0.5000
Sr2 0.7500 0.2500 0.5000
Re1 0.0000 0.0000 0.0000
Ni1 0.5000 0.5000 0.0000
O1 0.1983 0.2841 0.4824
O2 0.2409 0.2409 0.0000
O3 0.2841 0.8017 0.0858
O4 0.7159 0.1983 0.9142
O5 0.7591 0.7591 0.0000
O6 0.8017 0.7159 0.5176

Largest 12 diffraction maxima, in order of rising 2θ, 2θ from 10° to 90°:
2theta  I/Imax
19.32  34
31.70  100
32.00  53
37.65  12
45.02  17
45.88  30
56.29  21
56.84  42
66.23  19
74.66  9
76.09  10
84.30  9